For CeSiAu3, the PBE geometry in Alexandria gives the theoretical XRD peak list in this record (Cu Kα X-rays).
Lines closer than 0.1° are merged.

Main lines, sorted by position (2θ from 15° to 90°):
- 16.99 deg, intensity 111
- 32.59 deg, intensity 181
- 33.09 deg, intensity 1000
- 34.37 deg, intensity 108
- 40.27 deg, intensity 414
- 45.01 deg, intensity 170
- 48.09 deg, intensity 107
- 53.96 deg, intensity 122
- 58.27 deg, intensity 141
- 68.67 deg, intensity 249

Structural model:
abc: 6.105 6.105 6.105
angles: 136.96 136.96 62.50
Fractional positions:
Ce  0.000  0.000  0.000
Si  0.366  0.366  0.000
Au  0.264  0.764  0.500
Au  0.594  0.594  0.000
Au  0.764  0.264  0.500

***

For CeSiAu6, the PBE geometry in Alexandria gives the theoretical XRD peak list in this record (Cu Kα X-rays).
Lines closer than 0.1° are merged.

Main lines, sorted by position (2θ from 15° to 90°):
- 18.44 deg, intensity 187
- 25.52 deg, intensity 229
- 27.25 deg, intensity 502
- 36.50 deg, intensity 1000
- 37.38 deg, intensity 497
- 41.91 deg, intensity 303
- 43.12 deg, intensity 276
- 49.01 deg, intensity 355
- 65.10 deg, intensity 252
- 71.94 deg, intensity 201

Structural model:
abc: 7.334 7.334 7.334
angles: 46.00 46.00 46.00
Fractional positions:
Ce  0.000  0.000  0.000
Si  0.500  0.500  0.500
Au  0.067  0.581  0.581
Au  0.419  0.419  0.933
Au  0.419  0.933  0.419
Au  0.581  0.067  0.581
Au  0.581  0.581  0.067
Au  0.933  0.419  0.419

***

For Ce6Si3Au, the PBE geometry in Alexandria gives the theoretical XRD peak list in this record (Cu Kα X-rays).
Lines closer than 0.1° are merged.

Main lines, sorted by position (2θ from 15° to 90°):
- 24.19 deg, intensity 1000
- 26.61 deg, intensity 828
- 27.25 deg, intensity 508
- 28.79 deg, intensity 437
- 32.19 deg, intensity 787
- 32.53 deg, intensity 976
- 32.68 deg, intensity 571
- 33.28 deg, intensity 380
- 34.72 deg, intensity 414
- 35.41 deg, intensity 553

Structural model:
abc: 7.363 8.101 11.287
angles: 90.00 128.86 90.00
Fractional positions:
Ce  0.008  0.111  0.243
Ce  0.008  0.389  0.743
Ce  0.219  0.679  0.070
Ce  0.219  0.821  0.570
Ce  0.407  0.172  0.078
Ce  0.407  0.328  0.578
Ce  0.593  0.672  0.422
Ce  0.593  0.828  0.922
Ce  0.781  0.179  0.430
Ce  0.781  0.321  0.930
Ce  0.992  0.611  0.257
Ce  0.992  0.889  0.757
Si  0.000  0.000  0.000
Si  0.000  0.500  0.500
Si  0.299  0.125  0.758
Si  0.299  0.375  0.258
Si  0.701  0.625  0.742
Si  0.701  0.875  0.242
Au  0.500  0.000  0.500
Au  0.500  0.500  0.000

***

For Sr2CeSi3Au12, the PBE geometry in Alexandria gives the theoretical XRD peak list in this record (Cu Kα X-rays).
Lines closer than 0.1° are merged.

Main lines, sorted by position (2θ from 15° to 90°):
- 27.22 deg, intensity 255
- 29.44 deg, intensity 893
- 32.02 deg, intensity 583
- 32.52 deg, intensity 840
- 35.81 deg, intensity 298
- 40.51 deg, intensity 1000
- 49.49 deg, intensity 235
- 59.26 deg, intensity 347
- 60.77 deg, intensity 265
- 61.98 deg, intensity 231

Structural model:
abc: 8.330 8.330 8.330
angles: 64.65 64.65 64.65
Fractional positions:
Sr  0.097  0.097  0.097
Sr  0.903  0.903  0.903
Ce  0.500  0.500  0.500
Si  0.000  0.500  0.500
Si  0.500  0.000  0.500
Si  0.500  0.500  0.000
Au  0.091  0.643  0.643
Au  0.187  0.187  0.636
Au  0.187  0.636  0.187
Au  0.357  0.357  0.909
Au  0.357  0.909  0.357
Au  0.364  0.813  0.813
Au  0.636  0.187  0.187
Au  0.643  0.091  0.643
Au  0.643  0.643  0.091
Au  0.813  0.364  0.813
Au  0.813  0.813  0.364
Au  0.909  0.357  0.357

***

For CeSm3Au4, the PBE geometry in Alexandria gives the theoretical XRD peak list in this record (Cu Kα X-rays).
Lines closer than 0.1° are merged.

Main lines, sorted by position (2θ from 15° to 90°):
- 24.16 deg, intensity 25
- 34.43 deg, intensity 1000
- 49.49 deg, intensity 181
- 55.80 deg, intensity 12
- 61.58 deg, intensity 94
- 61.71 deg, intensity 281
- 72.51 deg, intensity 58
- 72.66 deg, intensity 58
- 82.82 deg, intensity 83
- 82.93 deg, intensity 84

Structural model:
abc: 9.036 9.036 9.036
angles: 33.48 33.48 33.48
Fractional positions:
Ce  0.000  0.000  0.000
Sm  0.250  0.250  0.250
Sm  0.500  0.500  0.500
Sm  0.750  0.750  0.750
Au  0.126  0.126  0.126
Au  0.377  0.377  0.377
Au  0.623  0.623  0.623
Au  0.874  0.874  0.874

***

For Ce3Sn4Au3, the PBE geometry in Alexandria gives the theoretical XRD peak list in this record (Cu Kα X-rays).
Lines closer than 0.1° are merged.

Main lines, sorted by position (2θ from 15° to 90°):
- 21.69 deg, intensity 242
- 25.10 deg, intensity 108
- 33.41 deg, intensity 1000
- 40.19 deg, intensity 465
- 44.22 deg, intensity 136
- 46.12 deg, intensity 140
- 49.77 deg, intensity 172
- 62.81 deg, intensity 112
- 64.32 deg, intensity 116
- 68.74 deg, intensity 117

Structural model:
abc: 8.690 8.690 8.690
angles: 109.47 109.47 109.47
Fractional positions:
Ce  0.125  0.875  0.250
Ce  0.250  0.125  0.875
Ce  0.375  0.625  0.750
Ce  0.625  0.750  0.375
Ce  0.750  0.375  0.625
Ce  0.875  0.250  0.125
Sn  0.000  0.180  0.500
Sn  0.000  0.680  0.500
Sn  0.180  0.500  0.000
Sn  0.320  0.320  0.320
Sn  0.500  0.000  0.180
Sn  0.500  0.000  0.680
Sn  0.680  0.500  0.000
Sn  0.820  0.820  0.820
Au  0.125  0.750  0.875
Au  0.250  0.625  0.375
Au  0.375  0.250  0.625
Au  0.625  0.375  0.250
Au  0.750  0.875  0.125
Au  0.875  0.125  0.750

***

For Ce3Sn5Au6, the PBE geometry in Alexandria gives the theoretical XRD peak list in this record (Cu Kα X-rays).
Lines closer than 0.1° are merged.

Main lines, sorted by position (2θ from 15° to 90°):
- 32.25 deg, intensity 130
- 32.46 deg, intensity 1000
- 34.88 deg, intensity 216
- 38.88 deg, intensity 344
- 39.47 deg, intensity 256
- 40.32 deg, intensity 114
- 41.89 deg, intensity 164
- 44.62 deg, intensity 103
- 56.60 deg, intensity 201
- 66.39 deg, intensity 112

Structural model:
abc: 4.633 13.700 10.400
angles: 90.00 90.00 90.00
Fractional positions:
Ce  0.250  0.068  0.245
Ce  0.250  0.432  0.245
Ce  0.250  0.750  0.244
Ce  0.750  0.250  0.756
Ce  0.750  0.568  0.755
Ce  0.750  0.932  0.755
Sn  0.250  0.088  0.876
Sn  0.250  0.412  0.876
Sn  0.250  0.610  0.525
Sn  0.250  0.750  0.779
Sn  0.250  0.890  0.525
Sn  0.750  0.110  0.475
Sn  0.750  0.250  0.221
Sn  0.750  0.390  0.475
Sn  0.750  0.588  0.124
Sn  0.750  0.912  0.124
Au  0.250  0.087  0.618
Au  0.250  0.250  0.040
Au  0.250  0.250  0.437
Au  0.250  0.413  0.618
Au  0.250  0.602  0.978
Au  0.250  0.898  0.978
Au  0.750  0.102  0.022
Au  0.750  0.398  0.022
Au  0.750  0.587  0.382
Au  0.750  0.750  0.563
Au  0.750  0.750  0.960
Au  0.750  0.913  0.382

***

For Ce2SnAu10, the PBE geometry in Alexandria gives the theoretical XRD peak list in this record (Cu Kα X-rays).
Lines closer than 0.1° are merged.

Main lines, sorted by position (2θ from 15° to 90°):
- 29.46 deg, intensity 396
- 29.79 deg, intensity 320
- 34.47 deg, intensity 564
- 35.60 deg, intensity 520
- 36.28 deg, intensity 1000
- 36.78 deg, intensity 518
- 37.10 deg, intensity 760
- 40.69 deg, intensity 688
- 41.35 deg, intensity 377
- 42.55 deg, intensity 484

Structural model:
abc: 5.119 9.341 13.241
angles: 90.00 112.27 90.00
Fractional positions:
Ce  0.187  0.033  0.305
Ce  0.187  0.467  0.805
Ce  0.813  0.533  0.195
Ce  0.813  0.967  0.695
Sn  0.500  0.000  0.000
Sn  0.500  0.500  0.500
Au  0.002  0.684  0.606
Au  0.002  0.816  0.106
Au  0.220  0.090  0.563
Au  0.220  0.410  0.063
Au  0.340  0.696  0.002
Au  0.340  0.804  0.502
Au  0.390  0.124  0.794
Au  0.390  0.376  0.294
Au  0.408  0.680  0.314
Au  0.408  0.820  0.814
Au  0.592  0.180  0.186
Au  0.592  0.320  0.686
Au  0.610  0.624  0.706
Au  0.610  0.876  0.206
Au  0.660  0.196  0.498
Au  0.660  0.304  0.998
Au  0.780  0.590  0.937
Au  0.780  0.910  0.437
Au  0.998  0.184  0.894
Au  0.998  0.316  0.394